No. 1
This entry pairs a crystal structure of Rb2SnTe4 with its calculated powder diffraction line list. Radiation: Cu Ka. Structure: the PBE geometry in Alexandria.
No peak broadening, texture or thermal motion is included.

Top 10 peaks for 10° ≤ 2θ ≤ 80°, low angle first:
10.56 deg, I = 95.2, hkl 1 0 0; 20.25 deg, I = 53.2, hkl 1 0 -2; 24.24 deg, I = 100.0, hkl 1 1 0; 26.48 deg, I = 27.1, hkl 2 0 1; 29.93 deg, I = 80.6, hkl 1 0 -3; 30.58 deg, I = 92.9, hkl 2 1 0; 32.39 deg, I = 26.9, hkl 3 0 -2; 34.39 deg, I = 66.9, hkl 1 1 2; 39.14 deg, I = 31.6, hkl 2 1 -3; 43.77 deg, I = 27.8, hkl 3 1 -3

Cell and atoms:
a = 8.8210 Å, b = 4.0805 Å, c = 8.9560 Å
α = 90.00°, β = 108.18°, γ = 90.00°
Space group Pm (No. 6)
Symmetry-distinct sites (fractional):
1 Rb 0.0000 0.0000 0.0000 [1 per cell]
2 Rb 0.3764 0.0000 0.5678 [1 per cell]
3 Sn 0.6882 0.5000 0.2847 [1 per cell]
4 Te 0.4299 0.0000 0.1869 [1 per cell]
5 Te 0.6069 0.5000 0.8936 [1 per cell]
6 Te 0.7695 0.5000 0.6743 [1 per cell]
7 Te 0.9467 0.0000 0.3809 [1 per cell]

---

No. 2
This entry pairs a crystal structure of Rb3SnTe with its calculated powder diffraction line list. Radiation: Cu Ka. Structure: the PBE geometry in Alexandria.
No peak broadening, texture or thermal motion is included.

Top 10 peaks for 10° ≤ 2θ ≤ 80°, low angle first:
12.71 deg, I = 16.8, hkl 1 0 0; 18.01 deg, I = 44.7, hkl 1 1 0; 22.11 deg, I = 49.4, hkl 1 1 1; 25.58 deg, I = 100.0, hkl 2 0 0; 31.46 deg, I = 23.0, hkl 2 1 1; 36.49 deg, I = 78.4, hkl 2 2 0; 43.08 deg, I = 25.4, hkl 3 1 1; 45.09 deg, I = 28.6, hkl 2 2 2; 59.34 deg, I = 37.8, hkl 4 2 0; 65.68 deg, I = 27.9, hkl 4 2 2

Cell and atoms:
a = 6.9646 Å, b = 6.9646 Å, c = 6.9646 Å
α = 90.00°, β = 90.00°, γ = 90.00°
Space group Pm-3m (No. 221)
Symmetry-distinct sites (fractional):
1 Rb 0.0000 0.0000 0.5000 [3 per cell]
2 Sn 0.5000 0.5000 0.5000 [1 per cell]
3 Te 0.0000 0.0000 0.0000 [1 per cell]

---

No. 3
This entry pairs a crystal structure of Rb3Th3SnTe8 with its calculated powder diffraction line list. Radiation: Cu Ka. Structure: the PBE geometry in Alexandria.
No peak broadening, texture or thermal motion is included.

Top 10 peaks for 10° ≤ 2θ ≤ 80°, low angle first:
10.22 deg, I = 47.6, hkl 0 0 3; 26.30 deg, I = 100.0, hkl 0 2 4; 33.04 deg, I = 19.2, hkl 0 2 7; 35.72 deg, I = 35.7, hkl 2 0 8; 39.27 deg, I = 37.2, hkl 2 2 0; 40.69 deg, I = 11.0, hkl 2 2 3; 44.66 deg, I = 13.1, hkl 2 0 11; 47.88 deg, I = 19.5, hkl 4 0 4; 58.66 deg, I = 11.4, hkl 2 2 12; 63.59 deg, I = 16.7, hkl 2 4 4

Cell and atoms:
a = 9.1762 Å, b = 9.1762 Å, c = 25.9596 Å
α = 90.00°, β = 90.00°, γ = 120.00°
Space group R-3m (No. 166, hexagonal axes)
Symmetry-distinct sites (fractional):
1 Rb 0.0000 0.5000 0.0000 [9 per cell]
2 Th 0.0000 0.5000 0.5000 [9 per cell]
3 Sn 0.0000 0.0000 0.5000 [3 per cell]
4 Te 0.0000 0.0000 0.2357 [6 per cell]
5 Te 0.0085 0.5043 0.7661 [18 per cell]

---

No. 4
This entry pairs a crystal structure of Rb2U2SnTe6 with its calculated powder diffraction line list. Radiation: Cu Ka. Structure: the PBE geometry in Alexandria.
No peak broadening, texture or thermal motion is included.

Top 10 peaks for 10° ≤ 2θ ≤ 80°, low angle first:
10.22 deg, I = 90.1, hkl 0 0 1; 26.43 deg, I = 100.0, hkl 1 3 1; 26.73 deg, I = 50.0, hkl 2 0 -2; 33.11 deg, I = 25.2, hkl 1 3 2; 35.73 deg, I = 15.9, hkl 2 0 2; 35.99 deg, I = 33.7, hkl 1 3 -3; 39.65 deg, I = 18.9, hkl 0 6 0; 39.82 deg, I = 37.0, hkl 3 3 -1; 44.92 deg, I = 15.4, hkl 1 3 -4; 48.44 deg, I = 28.7, hkl 2 6 -2

Cell and atoms:
a = 7.8311 Å, b = 13.6395 Å, c = 9.0081 Å
α = 90.00°, β = 106.16°, γ = 90.00°
Space group C2/m (No. 12)
Symmetry-distinct sites (fractional):
1 Rb 0.0000 0.1616 0.0000 [4 per cell]
2 U 0.0000 0.3334 0.5000 [4 per cell]
3 Sn 0.0000 0.0000 0.5000 [2 per cell]
4 Te 0.2131 0.5000 0.6966 [4 per cell]
5 Te 0.2358 0.1731 0.6952 [8 per cell]